Simulated powder XRD pattern of Rb2MoIrF6 for Cu Kα X-rays, from the PBE+U geometry in Alexandria.
Lines closer than 0.1° are merged.

Structure:
Lattice parameters (Å, degrees): 6.3169 6.3169 6.3169 116.69 116.69 95.83
Fractional positions:
1 Rb 0.2500 0.7500 0.5000
2 Rb 0.7500 0.2500 0.5000
3 Mo 0.0000 0.0000 0.0000
4 Ir 0.5000 0.5000 0.0000
5 F 0.2234 0.2234 0.4467
6 F 0.2234 0.7766 0.0000
7 F 0.2496 0.2496 0.0000
8 F 0.7504 0.7504 0.0000
9 F 0.7766 0.2234 0.0000
10 F 0.7766 0.7766 0.5533

Principal peaks in the range 5° ≤ 2θ ≤ 70°, in order of falling intensity:
| d (Å) | 2θ (°) | I (rel.) |
| --- | --- | --- |
| 3.142 | 28.4 | 100 |
| 3.315 | 26.9 | 58 |
| 1.879 | 48.4 | 45 |
| 2.344 | 38.4 | 40 |
| 1.571 | 58.8 | 22 |
| 1.784 | 51.2 | 20 |
| 4.688 | 18.9 | 18 |
| 2.117 | 42.7 | 15 |
| 1.658 | 55.4 | 13 |
| 1.483 | 62.7 | 12 |